[1]
SrMg7Al5: simulated powder X-ray diffraction pattern (λ = 1.5418 Å (Cu Kα)), based on a crystal structure in Alexandria, relaxed with GGA-PBE.
Peak positions follow from Bragg's law for the DFT cell and can differ from measured ones.

The 8 most intense peaks (10 to 90 degrees two-theta), by angle:
- 25.41 deg, rel. 53.7
- 31.06 deg, rel. 34.4
- 31.20 deg, rel. 36.5
- 35.71 deg, rel. 38.1
- 35.97 deg, rel. 100.0
- 36.06 deg, rel. 72.0
- 36.65 deg, rel. 92.1
- 59.48 deg, rel. 30.6

Structural model:
```
data_SrMg7Al5
_symmetry_space_group_name_H-M 'I m m 2'
_symmetry_Int_Tables_number 44
_symmetry_space_group_name_Hall 'I 2 -2'
_cell_length_a 5.622
_cell_length_b 9.998
_cell_length_c 10.058
_cell_angle_alpha 90.00
_cell_angle_beta 90.00
_cell_angle_gamma 90.00
loop_
_atom_site_label
_atom_site_type_symbol
_atom_site_fract_x
_atom_site_fract_y
_atom_site_fract_z
_atom_site_occupancy
Sr1 Sr 0.000 0.000 0.000 1
Mg1 Mg 0.000 0.000 0.357 1
Mg2 Mg 0.000 0.000 0.653 1
Mg3 Mg 0.000 0.289 0.505 1
Mg4 Mg 0.000 0.352 0.007 1
Mg5 Mg 0.000 0.500 0.728 1
Al1 Al 0.000 0.500 0.285 1
Al2 Al 0.250 0.246 0.756 1
```

---

[2]
Pa6Ti: simulated powder X-ray diffraction pattern (λ = 1.5418 Å (Cu Kα)), based on a crystal structure in Alexandria, relaxed with GGA-PBE.
Peak positions follow from Bragg's law for the DFT cell and can differ from measured ones.

The 8 most intense peaks (10 to 90 degrees two-theta), by angle:
- 26.85 deg, rel. 17.0
- 34.46 deg, rel. 100.0
- 35.78 deg, rel. 71.9
- 50.52 deg, rel. 22.0
- 60.85 deg, rel. 16.7
- 63.44 deg, rel. 15.2
- 65.15 deg, rel. 11.0
- 71.00 deg, rel. 10.3

Structural model:
```
data_Pa6Ti
_symmetry_space_group_name_H-M 'R -3'
_symmetry_Int_Tables_number 148
_symmetry_space_group_name_Hall '-R 3'
_cell_length_a 13.2811
_cell_length_b 13.2811
_cell_length_c 3.2495
_cell_angle_alpha 90.00
_cell_angle_beta 90.00
_cell_angle_gamma 120.00
loop_
_atom_site_label
_atom_site_type_symbol
_atom_site_fract_x
_atom_site_fract_y
_atom_site_fract_z
_atom_site_occupancy
Pa1 Pa 0.0210 0.2235 0.2125 1
Ti1 Ti 0.0000 0.0000 0.5000 1
```

---

[3]
ScPa2S6: simulated powder X-ray diffraction pattern (λ = 1.5418 Å (Cu Kα)), based on a crystal structure in Alexandria, relaxed with GGA-PBE.
Peak positions follow from Bragg's law for the DFT cell and can differ from measured ones.

The 8 most intense peaks (10 to 90 degrees two-theta), by angle:
- 16.00 deg, rel. 35.7
- 20.08 deg, rel. 100.0
- 26.54 deg, rel. 68.7
- 28.55 deg, rel. 17.7
- 39.37 deg, rel. 80.4
- 40.82 deg, rel. 22.8
- 49.35 deg, rel. 30.3
- 50.25 deg, rel. 23.0

Structural model:
```
data_ScPa2S6
_symmetry_space_group_name_H-M 'P 42/m n m'
_symmetry_Int_Tables_number 136
_symmetry_space_group_name_Hall '-P 4n 2n'
_cell_length_a 6.253
_cell_length_b 6.253
_cell_length_c 11.947
_cell_angle_alpha 90.00
_cell_angle_beta 90.00
_cell_angle_gamma 90.00
loop_
_atom_site_label
_atom_site_type_symbol
_atom_site_fract_x
_atom_site_fract_y
_atom_site_fract_z
_atom_site_occupancy
Sc1 Sc 0.000 0.000 0.000 1
Pa1 Pa 0.000 0.000 0.332 1
S1 S 0.194 0.194 0.161 1
S2 S 0.199 0.199 0.500 1
```

---

[4]
SrP12Au4: simulated powder X-ray diffraction pattern (λ = 1.5418 Å (Cu Kα)), based on a crystal structure in Alexandria, relaxed with GGA-PBE.
Peak positions follow from Bragg's law for the DFT cell and can differ from measured ones.

The 8 most intense peaks (10 to 90 degrees two-theta), by angle:
- 20.58 deg, rel. 77.2
- 26.73 deg, rel. 100.0
- 31.62 deg, rel. 60.0
- 38.03 deg, rel. 25.8
- 41.87 deg, rel. 23.9
- 43.74 deg, rel. 46.7
- 50.27 deg, rel. 29.3
- 53.40 deg, rel. 31.3

Structural model:
```
data_SrP12Au4
_symmetry_space_group_name_H-M 'P -1'
_symmetry_Int_Tables_number 2
_symmetry_space_group_name_Hall '-P 1'
_cell_length_a 7.203
_cell_length_b 7.204
_cell_length_c 7.206
_cell_angle_alpha 103.52
_cell_angle_beta 103.62
_cell_angle_gamma 103.44
loop_
_atom_site_label
_atom_site_type_symbol
_atom_site_fract_x
_atom_site_fract_y
_atom_site_fract_z
_atom_site_occupancy
Sr1 Sr 0.000 0.000 0.000 1
P1 P 0.086 0.620 0.732 1
P2 P 0.148 0.370 0.526 1
P3 P 0.268 0.914 0.379 1
P4 P 0.370 0.525 0.147 1
P5 P 0.380 0.268 0.914 1
P6 P 0.475 0.853 0.630 1
Au1 Au 0.000 0.000 0.500 1
Au2 Au 0.000 0.500 0.000 1
Au3 Au 0.500 0.000 0.000 1
Au4 Au 0.500 0.500 0.500 1
```

---

[5]
Er2Sc4In: simulated powder X-ray diffraction pattern (λ = 1.5418 Å (Cu Kα)), based on a crystal structure in Alexandria, relaxed with GGA-PBE.
Peak positions follow from Bragg's law for the DFT cell and can differ from measured ones.

The 8 most intense peaks (10 to 90 degrees two-theta), by angle:
- 15.59 deg, rel. 65.9
- 28.95 deg, rel. 59.0
- 29.12 deg, rel. 65.9
- 29.50 deg, rel. 46.2
- 31.40 deg, rel. 100.0
- 33.54 deg, rel. 62.0
- 36.25 deg, rel. 63.5
- 36.87 deg, rel. 42.6

Structural model:
```
data_Er2Sc4In
_symmetry_space_group_name_H-M 'P 1 21/c 1'
_symmetry_Int_Tables_number 14
_symmetry_space_group_name_Hall '-P 2ybc'
_cell_length_a 5.897
_cell_length_b 11.365
_cell_length_c 6.080
_cell_angle_alpha 90.00
_cell_angle_beta 115.71
_cell_angle_gamma 90.00
loop_
_atom_site_label
_atom_site_type_symbol
_atom_site_fract_x
_atom_site_fract_y
_atom_site_fract_z
_atom_site_occupancy
Er1 Er 0.204 0.054 0.392 1
Sc1 Sc 0.093 0.177 0.848 1
Sc2 Sc 0.404 0.735 0.185 1
In1 In 0.500 0.000 0.000 1
```

---

[6]
BaTm4ScS8: simulated powder X-ray diffraction pattern (λ = 1.5418 Å (Cu Kα)), based on a crystal structure in Alexandria, relaxed with GGA-PBE.
Peak positions follow from Bragg's law for the DFT cell and can differ from measured ones.

The 8 most intense peaks (10 to 90 degrees two-theta), by angle:
- 22.14 deg, rel. 59.5
- 25.65 deg, rel. 100.0
- 25.79 deg, rel. 71.8
- 26.08 deg, rel. 40.6
- 31.27 deg, rel. 34.6
- 40.97 deg, rel. 35.9
- 44.46 deg, rel. 58.7
- 45.17 deg, rel. 56.7

Structural model:
```
data_BaTm4ScS8
_symmetry_space_group_name_H-M 'R 3 m'
_symmetry_Int_Tables_number 160
_symmetry_space_group_name_Hall 'R 3 -2"'
_cell_length_a 8.1513
_cell_length_b 8.1513
_cell_length_c 19.5220
_cell_angle_alpha 90.00
_cell_angle_beta 90.00
_cell_angle_gamma 120.00
loop_
_atom_site_label
_atom_site_type_symbol
_atom_site_fract_x
_atom_site_fract_y
_atom_site_fract_z
_atom_site_occupancy
Ba1 Ba 0.0000 0.0000 0.0000 1
Tm1 Tm 0.0000 0.0000 0.2433 1
Tm2 Tm 0.1698 0.3396 0.4524 1
Sc1 Sc 0.0000 0.0000 0.6221 1
S1 S 0.0000 0.0000 0.3769 1
S2 S 0.0000 0.0000 0.8530 1
S3 S 0.0566 0.5283 0.3728 1
S4 S 0.1772 0.3545 0.2011 1
```

---

[7]
EuBi2Se4: simulated powder X-ray diffraction pattern (λ = 1.5418 Å (Cu Kα)), based on a crystal structure in Alexandria, relaxed with GGA-PBE.
Peak positions follow from Bragg's law for the DFT cell and can differ from measured ones.

The 8 most intense peaks (10 to 90 degrees two-theta), by angle:
- 23.30 deg, rel. 46.5
- 23.67 deg, rel. 100.0
- 25.13 deg, rel. 83.8
- 28.38 deg, rel. 47.3
- 32.42 deg, rel. 44.3
- 34.62 deg, rel. 89.4
- 42.45 deg, rel. 40.4
- 43.02 deg, rel. 53.3

Structural model:
```
data_EuBi2Se4
_symmetry_space_group_name_H-M 'P n m a'
_symmetry_Int_Tables_number 62
_symmetry_space_group_name_Hall '-P 2ac 2n'
_cell_length_a 12.952
_cell_length_b 4.205
_cell_length_c 15.271
_cell_angle_alpha 90.00
_cell_angle_beta 90.00
_cell_angle_gamma 90.00
loop_
_atom_site_label
_atom_site_type_symbol
_atom_site_fract_x
_atom_site_fract_y
_atom_site_fract_z
_atom_site_occupancy
Eu1 Eu 0.239 0.250 0.169 1
Bi1 Bi 0.056 0.250 0.387 1
Bi2 Bi 0.089 0.250 0.905 1
Se1 Se 0.052 0.750 0.782 1
Se2 Se 0.102 0.250 0.576 1
Se3 Se 0.126 0.750 0.048 1
Se4 Se 0.197 0.750 0.319 1
```

---

[8]
Ho2Hg2Pb3: simulated powder X-ray diffraction pattern (λ = 1.5418 Å (Cu Kα)), based on a crystal structure in Alexandria, relaxed with GGA-PBE.
Peak positions follow from Bragg's law for the DFT cell and can differ from measured ones.

The 8 most intense peaks (10 to 90 degrees two-theta), by angle:
- 31.48 deg, rel. 100.0
- 33.37 deg, rel. 83.2
- 35.70 deg, rel. 72.2
- 41.25 deg, rel. 21.8
- 55.62 deg, rel. 17.7
- 55.72 deg, rel. 17.8
- 60.35 deg, rel. 31.2
- 63.79 deg, rel. 23.9

Structural model:
```
data_Ho2Hg2Pb3
_symmetry_space_group_name_H-M 'C 1 2/m 1'
_symmetry_Int_Tables_number 12
_symmetry_space_group_name_Hall '-C 2y'
_cell_length_a 13.558
_cell_length_b 3.737
_cell_length_c 8.096
_cell_angle_alpha 90.00
_cell_angle_beta 108.33
_cell_angle_gamma 90.00
loop_
_atom_site_label
_atom_site_type_symbol
_atom_site_fract_x
_atom_site_fract_y
_atom_site_fract_z
_atom_site_occupancy
Ho1 Ho 0.124 0.000 0.432 1
Hg1 Hg 0.075 0.500 0.720 1
Pb1 Pb 0.000 0.000 0.000 1
Pb2 Pb 0.218 0.500 0.166 1
```

---

[9]
Pr5Ge3: simulated powder X-ray diffraction pattern (λ = 1.5418 Å (Cu Kα)), based on a crystal structure in Alexandria, relaxed with GGA-PBE.
Peak positions follow from Bragg's law for the DFT cell and can differ from measured ones.

The 8 most intense peaks (10 to 90 degrees two-theta), by angle:
- 25.69 deg, rel. 22.7
- 29.96 deg, rel. 14.4
- 31.49 deg, rel. 100.0
- 31.66 deg, rel. 16.5
- 33.98 deg, rel. 41.6
- 35.51 deg, rel. 46.2
- 50.98 deg, rel. 20.4
- 55.33 deg, rel. 16.3

Structural model:
```
data_Pr5Ge3
_symmetry_space_group_name_H-M 'I 4/m c m'
_symmetry_Int_Tables_number 140
_symmetry_space_group_name_Hall '-I 4 2c'
_cell_length_a 7.994
_cell_length_b 7.994
_cell_length_c 14.047
_cell_angle_alpha 90.00
_cell_angle_beta 90.00
_cell_angle_gamma 90.00
loop_
_atom_site_label
_atom_site_type_symbol
_atom_site_fract_x
_atom_site_fract_y
_atom_site_fract_z
_atom_site_occupancy
Pr1 Pr 0.000 0.000 0.000 1
Pr2 Pr 0.173 0.327 0.146 1
Ge1 Ge 0.000 0.000 0.250 1
Ge2 Ge 0.124 0.376 0.500 1
```